Entry 1:
# Nd3Sc4Tl4
Theoretical PXRD pattern, copper Kα. Input: a crystal structure in Alexandria, relaxed with GGA-PBE.
Intensities are scaled so that the largest is 100.

Main lines, by angle (2θ from 10° to 90°):
| d [Å] | I (rel.) |
| --- | --- |
| 3.606 | 22 |
| 2.992 | 100 |
| 2.888 | 62 |
| 2.422 | 30 |
| 2.219 | 33 |
| 2.209 | 19 |

Structural model:
Lattice parameters (Å, degrees): 9.318 9.318 9.318 149.87 130.35 59.18
Fractional positions:
Nd (0.000, 0.000, 0.000)
Nd (0.383, 0.883, 0.500)
Nd (0.617, 0.117, 0.500)
Sc (0.028, 0.326, 0.702)
Sc (0.376, 0.674, 0.702)
Sc (0.624, 0.326, 0.298)
Sc (0.972, 0.674, 0.298)
Tl (0.212, 0.212, 0.000)
Tl (0.300, 0.500, 0.800)
Tl (0.700, 0.500, 0.200)
Tl (0.788, 0.788, 0.000)

=====

Entry 2:
# TlInP2S6
Theoretical PXRD pattern, copper Kα. Input: a crystal structure in Alexandria, relaxed with GGA-PBE.
Intensities are scaled so that the largest is 100.

Main lines, by angle (2θ from 10° to 90°):
| d [Å] | I (rel.) |
| --- | --- |
| 4.725 | 71 |
| 4.467 | 42 |
| 4.235 | 100 |
| 2.921 | 24 |
| 2.818 | 22 |
| 2.445 | 36 |

Structural model:
Lattice parameters (Å, degrees): 6.604 9.779 8.494 90.00 94.26 90.00
Fractional positions:
Tl (0.185, 0.000, 0.453)
Tl (0.815, 0.500, 0.547)
In (0.304, 0.318, 0.988)
In (0.696, 0.818, 0.012)
P (0.212, 0.636, 0.145)
P (0.308, 0.456, 0.309)
P (0.692, 0.956, 0.691)
P (0.788, 0.136, 0.855)
S (0.067, 0.190, 0.781)
S (0.099, 0.305, 0.240)
S (0.216, 0.570, 0.918)
S (0.311, 0.527, 0.527)
S (0.411, 0.793, 0.204)
S (0.426, 0.898, 0.777)
S (0.574, 0.398, 0.223)
S (0.589, 0.293, 0.796)
S (0.689, 0.027, 0.473)
S (0.784, 0.070, 0.082)
S (0.901, 0.805, 0.760)
S (0.933, 0.690, 0.219)